(1)
For Ti2AlCdH, DFT lattice parameters and positions (GGA-PBE) gives the calculated powder diffraction line list in this record (Cu Kα (weighted mean of Kα1 and Kα2)).
Lines closer than 0.1° are merged.

Top 10 peaks for 2θ = 10–80°, by angle:
- hkl 1 0 0, 2θ = 22.2°, I = 26
- hkl 1 0 1, 2θ = 30.1°, I = 27
- hkl 1 1 1, 2θ = 37.7°, I = 100
- hkl 0 0 2, 2θ = 40.9°, I = 20
- hkl 2 0 0, 2θ = 45.2°, I = 30
- hkl 2 1 1, 2θ = 55.3°, I = 9
- hkl 2 0 2, 2θ = 62.6°, I = 21
- hkl 2 2 0, 2θ = 65.9°, I = 9
- hkl 1 1 3, 2θ = 72.3°, I = 13
- hkl 3 1 1, 2θ = 78.5°, I = 21

Cell lengths 4.009, 4.009, 4.415 Å; angles 90.00, 90.00, 90.00 degrees
Space group P4/mmm (No. 123)
One atom of each set of equivalent atoms:
Ti  0.000  0.500  0.000 x2
Al  0.000  0.000  0.500 x1
Cd  0.500  0.500  0.500 x1
H  0.000  0.000  0.000 x1


(2)
For AlCdHg, DFT lattice parameters and positions (GGA-PBE) gives the calculated powder diffraction line list in this record (Cu Kα (weighted mean of Kα1 and Kα2)).
Lines closer than 0.1° are merged.

Top 10 peaks for 2θ = 10–80°, by angle:
- hkl 0 0 2, 2θ = 12.2°, I = 38
- hkl 0 0 4, 2θ = 24.6°, I = 17
- hkl 1 0 0, 2θ = 32.3°, I = 22
- hkl 1 0 2, 2θ = 34.7°, I = 100
- hkl 0 0 6, 2θ = 37.3°, I = 23
- hkl 1 0 3, 2θ = 37.5°, I = 21
- hkl 1 0 4, 2θ = 41.1°, I = 49
- hkl 1 1 0, 2θ = 57.7°, I = 22
- hkl 1 0 8, 2θ = 61.2°, I = 25
- hkl 1 1 6, 2θ = 70.7°, I = 21

Cell lengths 3.1956, 3.1956, 14.4790 Å; angles 90.00, 90.00, 120.00 degrees
Space group P-6m2 (No. 187)
One atom of each set of equivalent atoms:
Al  0.0000  0.0000  0.1571 x2
Cd  0.3333  0.6667  0.3192 x2
Hg  0.6667  0.3333  0.0000 x1
Hg  0.6667  0.3333  0.5000 x1